Record 1
Calculated powder X-ray diffraction pattern
Compound: Co3O2F4
Radiation: CuKα
Structure: the GGA+U geometry in the Materials Project
Neutral-atom scattering factors, no anomalous dispersion.

Most intense lines, 5° ≤ 2θ ≤ 70°, by angle:
| 2theta | intensity | (hkl) |
| --- | --- | --- |
| 26.66 | 100.0 | 1 1 1 |
| 27.54 | 98.6 | -1 1 1 |
| 34.74 | 59.4 | 0 2 -1 |
| 35.15 | 27.5 | 1 1 -2 |
| 35.35 | 26.5 | 0 0 3 |
| 52.60 | 30.6 | 2 2 -1 |
| 53.10 | 44.6 | 1 -3 0 |
| 54.91 | 18.6 | 2 2 2 |
| 60.24 | 17.9 | 0 2 -4 |
| 67.20 | 26.0 | 0 4 1 |

Atomic structure:
a b c (Å): 4.6675 5.6179 7.6323
angles (deg): 86.78 88.41 88.82
Fractional coordinates of all 18 atoms:
Co 0.0000 0.0000 0.0000
Co 0.0032 0.6658 0.3030
Co 0.0355 0.3406 0.6635
Co 0.5156 0.1775 0.3307
Co 0.5226 0.8341 0.6611
Co 0.5676 0.4932 0.9912
O 0.3316 0.1484 0.5538
O 0.7139 0.2166 0.0987
O 0.7424 0.5190 0.7710
O 0.8207 0.6888 0.0877
F 0.2146 0.9666 0.2298
F 0.2185 0.6398 0.5429
F 0.2561 0.3013 0.8974
F 0.3405 0.7828 0.9039
F 0.3407 0.4803 0.2131
F 0.7288 0.8811 0.4228
F 0.8284 0.3804 0.4265
F 0.8474 0.0285 0.7576

Record 2
Calculated powder X-ray diffraction pattern
Compound: Li9Mn2Co5O16
Radiation: CuKα
Structure: the GGA+U geometry in the Materials Project
Neutral-atom scattering factors, no anomalous dispersion.

Most intense lines, 5° ≤ 2θ ≤ 70°, by angle:
| 2theta | intensity | (hkl) |
| --- | --- | --- |
| 7.51 | 8.2 | 0 0 1 |
| 18.34 | 100.0 | 0 1 0 |
| 34.71 | 17.8 | 1 0 -4 |
| 36.15 | 12.8 | 2 -1 0 |
| 36.92 | 11.1 | 1 0 4 |
| 37.21 | 8.2 | 0 2 0 |
| 41.71 | 32.1 | 1 1 -4 |
| 43.84 | 27.2 | 2 -2 0 |
| 44.99 | 24.8 | 1 1 4 |
| 65.30 | 8.7 | 3 -1 4 |

Atomic structure:
a b c (Å): 5.0590 5.1114 11.8033
angles (deg): 91.74 93.07 108.66
Fractional coordinates of all 32 atoms:
Li 0.0000 0.0000 0.0000
Li 0.0003 0.4970 0.8817
Li 0.0018 0.4898 0.1205
Li 0.0046 0.4952 0.3719
Li 0.4958 0.4837 0.0076
Li 0.4986 0.4948 0.7542
Li 0.5053 0.4963 0.2468
Li 0.5109 0.5021 0.4889
Li 0.9942 0.4910 0.6222
Mn 0.4997 0.9916 0.6228
Mn 0.9961 0.9909 0.7541
Co 0.0021 0.9955 0.4952
Co 0.0080 0.9961 0.2433
Co 0.4962 0.9940 0.1171
Co 0.5018 0.9932 0.3676
Co 0.5051 0.0027 0.8777
O 0.2277 0.2024 0.6288
O 0.2415 0.7669 0.7605
O 0.2434 0.2285 0.3714
O 0.2507 0.7686 0.5008
O 0.2546 0.2230 0.8678
O 0.2563 0.7531 0.2545
O 0.2651 0.2158 0.1291
O 0.2740 0.7534 0.0120
O 0.7344 0.2357 0.9934
O 0.7351 0.2178 0.2401
O 0.7469 0.7592 0.6295
O 0.7497 0.7723 0.1305
O 0.7555 0.2214 0.4894
O 0.7590 0.7875 0.8641
O 0.7603 0.2256 0.7407
O 0.7673 0.7647 0.3779